Li6V5O12: theoretical XRD peak list (Cu Kα (λ = 1.5418 Å)), based on a cell relaxed with PBE+U.

Largest 12 diffraction maxima, sorted by position, 10° ≤ 2θ ≤ 80°:
Position (°2θ)	I/Imax	hkl
20.9	100	0 1 -1
28.0	26	-1 1 2
28.2	25	1 -1 2
40.4	47	1 1 2
44.8	36	-2 1 3
44.9	36	1 -2 3
53.3	10	2 0 -4
54.3	11	1 2 1
61.1	21	0 3 -1
62.7	10	-1 2 5
63.0	10	2 -1 5
65.4	10	3 -3 0

Structural model:
abc: 5.0554 5.0632 9.5296
angles: 93.10 93.48 115.57
Fractional positions:
Li 0.0000 0.0000 0.0000
Li 0.0515 0.3851 0.2373
Li 0.2601 0.2357 0.7578
Li 0.5603 0.9050 0.7413
Li 0.6504 0.2886 0.9880
Li 0.7742 0.7342 0.2440
V 0.3519 0.6579 0.9950
V 0.4226 0.0816 0.2424
V 0.5060 0.5145 0.5014
V 0.8614 0.1584 0.4986
V 0.9323 0.5917 0.7529
O 0.0057 0.3427 0.8901
O 0.1148 0.7327 0.1379
O 0.1489 0.1587 0.3814
O 0.1956 0.4937 0.6202
O 0.2778 0.9204 0.8716
O 0.3848 0.3530 0.1313
O 0.5240 0.8417 0.3842
O 0.6139 0.2528 0.6288
O 0.6254 0.6237 0.8866
O 0.6793 0.0074 0.1213
O 0.7533 0.4059 0.3691
O 0.8532 0.8604 0.6233